Calculated X-ray diffraction stick pattern
Compound: NdSmMg2
Radiation: Cu Kα X-rays
Structure: a DFT-relaxed cell (GGA-PBE, the Materials Project)
Kinematic intensities with the Lorentz-polarization factor, no thermal factor.

Principal peaks in the range 2θ from 10° to 90°, in order of falling intensity:
(2 2 0), 32.75°, intensity 100
(2 0 0), 23.00°, intensity 60
(4 2 2), 58.46°, intensity 38
(4 2 0), 52.94°, intensity 26
(2 2 2), 40.40°, intensity 19
(4 0 0), 46.99°, intensity 18
(6 2 0), 78.16°, intensity 16
(6 0 0), 73.46°, intensity 12

Structural model:
```
16
Lattice="7.7342 0.0000 0.0000 0.0000 7.7342 0.0000 0.0000 0.0000 7.7342" Properties=species:S:1:pos:R:3 pbc="T T T"
Nd 0.0000 0.0000 0.0000
Nd 0.0000 3.8671 3.8671
Nd 3.8671 0.0000 3.8671
Nd 3.8671 3.8671 0.0000
Sm 0.0000 0.0000 3.8671
Sm 0.0000 3.8671 0.0000
Sm 3.8671 0.0000 0.0000
Sm 3.8671 3.8671 3.8671
Mg 1.9335 1.9335 1.9335
Mg 1.9335 1.9335 5.8006
Mg 1.9335 5.8006 1.9335
Mg 1.9335 5.8006 5.8006
Mg 5.8006 1.9335 1.9335
Mg 5.8006 1.9335 5.8006
Mg 5.8006 5.8006 1.9335
Mg 5.8006 5.8006 5.8006
```